Entry 1:
Np2Pa2Se7: calculated PXRD pattern (λ = 1.5418 Å (Cu Kα)), based on the GGA-PBE geometry in Alexandria.
Kinematic intensities with the Lorentz-polarization factor, no thermal factor.

Structural model:
Cell lengths 8.893, 8.893, 8.893 Å; angles 153.80, 67.53, 119.01 degrees
Element x y z (fractional)
Np 0.000 0.000 0.000
Np 0.547 0.047 0.500
Pa 0.074 0.817 0.257
Pa 0.560 0.817 0.743
Se 0.232 0.732 0.500
Se 0.299 0.117 0.182
Se 0.359 0.501 0.858
Se 0.643 0.501 0.142
Se 0.718 0.330 0.388
Se 0.934 0.117 0.818
Se 0.941 0.330 0.612

Main lines, sorted by position (15° ≤ 2θ ≤ 90°):
2θ/deg, d [Å], Rel. int.
23.09, 3.852, 63
24.18, 3.680, 35
27.06, 3.295, 30
34.39, 2.608, 100
34.95, 2.567, 29
39.31, 2.292, 64
41.79, 2.162, 41
44.96, 2.016, 33
61.66, 1.504, 29
63.06, 1.474, 29


Entry 2:
K7Y2P: calculated PXRD pattern (λ = 1.5418 Å (Cu Kα)), based on the GGA-PBE geometry in Alexandria.
Kinematic intensities with the Lorentz-polarization factor, no thermal factor.

Structural model:
Cell lengths 6.047, 9.391, 9.110 Å; angles 90.00, 99.25, 90.00 degrees
Element x y z (fractional)
K 0.000 0.000 0.000
K 0.221 0.302 0.276
K 0.296 0.529 0.835
K 0.350 0.016 0.718
K 0.650 0.016 0.282
K 0.704 0.529 0.165
K 0.779 0.302 0.724
Y 0.231 0.720 0.423
Y 0.769 0.720 0.577
P 0.500 0.226 0.000

Main lines, sorted by position (15° ≤ 2θ ≤ 90°):
2θ/deg, d [Å], Rel. int.
21.35, 4.162, 68
24.69, 3.606, 47
25.16, 3.540, 35
26.67, 3.342, 31
27.01, 3.301, 100
29.76, 3.003, 37
29.97, 2.981, 63
31.47, 2.843, 29
32.63, 2.745, 33
38.37, 2.346, 35


Entry 3:
HoTm5Bi5: calculated PXRD pattern (λ = 1.5418 Å (Cu Kα)), based on the GGA-PBE geometry in Alexandria.
Kinematic intensities with the Lorentz-polarization factor, no thermal factor.

Structural model:
Cell lengths 7.553, 7.553, 8.756 Å; angles 106.74, 106.74, 48.54 degrees
Element x y z (fractional)
Ho 0.000 0.000 0.000
Tm 0.000 0.000 0.500
Tm 0.337 0.337 0.174
Tm 0.338 0.338 0.663
Tm 0.662 0.662 0.337
Tm 0.663 0.663 0.826
Bi 0.167 0.167 0.337
Bi 0.171 0.171 0.832
Bi 0.500 0.500 0.000
Bi 0.829 0.829 0.168
Bi 0.833 0.833 0.663

Main lines, sorted by position (15° ≤ 2θ ≤ 90°):
2θ/deg, d [Å], Rel. int.
28.76, 3.104, 51
28.92, 3.088, 100
41.24, 2.189, 98
41.47, 2.178, 19
51.05, 1.789, 21
51.24, 1.783, 21
67.53, 1.387, 10
67.72, 1.384, 18
75.17, 1.264, 20
75.48, 1.259, 13


Entry 4:
Ba2GaPb4Au3: calculated PXRD pattern (λ = 1.5418 Å (Cu Kα)), based on the GGA-PBE geometry in Alexandria.
Kinematic intensities with the Lorentz-polarization factor, no thermal factor.

Structural model:
Cell lengths 5.011, 5.011, 11.786 Å; angles 90.00, 90.00, 90.00 degrees
Element x y z (fractional)
Ba 0.000 0.500 0.242
Ba 0.500 0.000 0.758
Ga 0.500 0.500 0.000
Pb 0.000 0.000 0.500
Pb 0.000 0.500 0.873
Pb 0.500 0.000 0.127
Pb 0.500 0.500 0.500
Au 0.000 0.000 0.000
Au 0.000 0.500 0.634
Au 0.500 0.000 0.366

Main lines, sorted by position (15° ≤ 2θ ≤ 90°):
2θ/deg, d [Å], Rel. int.
19.25, 4.612, 32
28.88, 3.092, 64
29.41, 3.037, 100
35.84, 2.506, 92
39.79, 2.266, 68
42.38, 2.133, 32
46.66, 1.947, 35
51.58, 1.772, 33
56.67, 1.624, 27
67.06, 1.396, 31